Computed powder XRD pattern
Compound: Mn4ReRh
Radiation: Cu Kα
Structure: a structure optimized by DFT (PBE)
Peak positions follow from Bragg's law for the DFT cell and can differ from measured ones.

Top 6 peaks for 15 to 90 degrees two-theta, sorted by position:
- 2θ = 23.31°, 3.816 Å, rel. 20
- 2θ = 38.53°, 2.337 Å, rel. 66
- 2θ = 45.52°, 1.993 Å, rel. 100
- 2θ = 69.71°, 1.349 Å, rel. 23
- 2θ = 74.62°, 1.272 Å, rel. 30
- 2θ = 82.58°, 1.168 Å, rel. 21

abc: 4.6731 4.6731 4.6731
angles: 60.00 60.00 60.00
Atoms (fractional coordinates):
Mn1 0.3766 0.3766 0.3766
Mn2 0.3766 0.3766 0.8702
Mn3 0.3766 0.8702 0.3766
Mn4 0.8702 0.3766 0.3766
Re1 0.0000 0.0000 0.0000
Rh1 0.7500 0.7500 0.7500



Computed powder XRD pattern
Compound: MnReRh4
Radiation: Cu Kα
Structure: a structure optimized by DFT (PBE)
Peak positions follow from Bragg's law for the DFT cell and can differ from measured ones.

Top 6 peaks for 15 to 90 degrees two-theta, sorted by position:
- 2θ = 35.48°, 2.530 Å, rel. 56
- 2θ = 40.46°, 2.230 Å, rel. 54
- 2θ = 42.23°, 2.140 Å, rel. 84
- 2θ = 46.53°, 1.952 Å, rel. 100
- 2θ = 54.89°, 1.673 Å, rel. 31
- 2θ = 87.56°, 1.114 Å, rel. 28

abc: 8.5687 7.7978 5.2112
angles: 79.69 63.55 36.75
Atoms (fractional coordinates):
Mn1 0.1250 0.1250 0.1250
Mn2 0.8750 0.8750 0.8750
Re1 0.3750 0.3750 0.3750
Re2 0.6250 0.6250 0.6250
Rh1 0.0356 0.5237 0.2194
Rh2 0.2194 0.7212 0.0356
Rh3 0.2788 0.7806 0.4763
Rh4 0.4763 0.9644 0.2788
Rh5 0.5237 0.0356 0.7212
Rh6 0.7212 0.2194 0.5237
Rh7 0.7806 0.2788 0.9644
Rh8 0.9644 0.4763 0.7806



Computed powder XRD pattern
Compound: MnRe2Se5
Radiation: Cu Kα
Structure: a structure optimized by DFT (PBE)
Peak positions follow from Bragg's law for the DFT cell and can differ from measured ones.

Top 6 peaks for 15 to 90 degrees two-theta, sorted by position:
- 2θ = 15.90°, 5.575 Å, rel. 42
- 2θ = 16.70°, 5.309 Å, rel. 100
- 2θ = 20.29°, 4.376 Å, rel. 52
- 2θ = 21.62°, 4.111 Å, rel. 52
- 2θ = 28.91°, 3.089 Å, rel. 39
- 2θ = 40.67°, 2.218 Å, rel. 25

abc: 5.5551 6.5873 6.6099
angles: 118.03 93.60 109.25
Atoms (fractional coordinates):
Mn1 0.0000 0.0000 0.0000
Re1 0.5102 0.1204 0.1043
Re2 0.9342 0.9191 0.5508
Se1 0.1839 0.7603 0.7080
Se2 0.1879 0.8558 0.2308
Se3 0.5447 0.5439 0.3283
Se4 0.8154 0.2205 0.8695
Se5 0.8817 0.1773 0.3719